Structure and simulated powder diffractogram of Cd2Mo3O8 (the PBE+U geometry in Alexandria; Cu Kα X-rays).
Neutral-atom scattering factors, no anomalous dispersion.

Peak list (10 most intense, 10 to 90 degrees two-theta, by intensity)
- 2.724 Å, rel. 100.0, hkl 1 1 2
- 2.685 Å, rel. 96.6, hkl 2 0 1
- 2.920 Å, rel. 92.6, hkl 1 0 3
- 3.777 Å, rel. 69.3, hkl 1 0 2
- 1.655 Å, rel. 65.3, hkl 2 0 5
- 1.792 Å, rel. 53.6, hkl 2 1 3
- 1.606 Å, rel. 49.6, hkl 2 2 0
- 2.781 Å, rel. 38.0, hkl 2 0 0
- 5.147 Å, rel. 32.4, hkl 0 0 2
- 1.744 Å, rel. 25.6, hkl 3 0 2

Structural model:
```
data_Cd2Mo3O8
_chemical_formula_sum 'Cd4 Mo6 O16'
_cell_length_a 6.422
_cell_length_b 6.422
_cell_length_c 10.293
_cell_angle_alpha 90.00
_cell_angle_beta 90.00
_cell_angle_gamma 120.00
_space_group_name_H-M_alt 'P 1'
_space_group_IT_number 1
loop_
_space_group_symop_operation_xyz
'x,y,z'
loop_
_atom_site_label
_atom_site_type_symbol
_atom_site_fract_x
_atom_site_fract_y
_atom_site_fract_z
Cd1 Cd 0.333 0.667 0.000
Cd2 Cd 0.333 0.667 0.389
Cd3 Cd 0.667 0.333 0.500
Cd4 Cd 0.667 0.333 0.889
Mo1 Mo 0.163 0.327 0.678
Mo2 Mo 0.163 0.837 0.678
Mo3 Mo 0.327 0.163 0.178
Mo4 Mo 0.673 0.837 0.678
Mo5 Mo 0.837 0.163 0.178
Mo6 Mo 0.837 0.673 0.178
O1 O 0.000 0.000 0.074
O2 O 0.000 0.000 0.574
O3 O 0.047 0.523 0.566
O4 O 0.160 0.319 0.269
O5 O 0.160 0.840 0.269
O6 O 0.319 0.160 0.769
O7 O 0.333 0.667 0.784
O8 O 0.477 0.523 0.566
O9 O 0.477 0.953 0.566
O10 O 0.523 0.047 0.066
O11 O 0.523 0.477 0.066
O12 O 0.667 0.333 0.284
O13 O 0.681 0.840 0.269
O14 O 0.840 0.160 0.769
O15 O 0.840 0.681 0.769
O16 O 0.953 0.477 0.066
```